No. 1
Simulated powder X-ray diffraction pattern of Pm3SN2 for Cu Kα X-rays, from DFT lattice parameters and positions (GGA-PBE).

Structure:
Unit cell a=3.825 b=12.829 c=10.016 alpha=90.00 beta=90.00 gamma=90.00
Space group Cmcm (No. 63)
Unique sites:
Pm (0.000, 0.071, 0.250) x4
Pm (0.000, 0.379, 0.068) x8
S (0.000, 0.252, 0.750) x4
N (0.000, 0.000, 0.000) x4
N (0.000, 0.474, 0.250) x4

The 8 most intense peaks (10 to 90 degrees two-theta), by angle:
hkl	2θ/deg	I/Imax
0 4 0	27.8	16
0 2 3	30.2	100
1 3 0	31.4	18
1 3 1	32.7	45
1 5 2	46.3	15
2 0 0	47.5	15
1 3 5	56.1	17
2 2 3	57.3	19

No. 2
Simulated powder X-ray diffraction pattern of Na4PuIn15 for Cu Kα X-rays, from DFT lattice parameters and positions (GGA-PBE).

Structure:
Unit cell a=4.653 b=4.653 c=23.910 alpha=90.00 beta=90.00 gamma=90.00
Space group P4/mmm (No. 123)
Unique sites:
Na (0.000, 0.000, 0.101) x2
Na (0.000, 0.000, 0.302) x2
Pu (0.000, 0.000, 0.500) x1
In (0.000, 0.500, 0.000) x2
In (0.000, 0.500, 0.202) x4
In (0.000, 0.500, 0.401) x4
In (0.500, 0.500, 0.099) x2
In (0.500, 0.500, 0.303) x2
In (0.500, 0.500, 0.500) x1

The 8 most intense peaks (10 to 90 degrees two-theta), by angle:
hkl	2θ/deg	I/Imax
1 1 5	33.0	100
0 0 10	37.6	17
2 0 0	38.7	32
2 0 10	55.1	22
2 2 0	55.9	11
1 1 15	65.0	13
3 1 5	66.5	25
2 2 10	69.3	11

No. 3
Simulated powder X-ray diffraction pattern of NdTc2Ge2C for Cu Kα X-rays, from DFT lattice parameters and positions (GGA-PBE).

Structure:
Unit cell a=4.198 b=4.198 c=5.526 alpha=90.00 beta=90.00 gamma=90.00
Space group P4/mmm (No. 123)
Unique sites:
Nd (0.000, 0.000, 0.000) x1
Tc (0.000, 0.500, 0.500) x2
Ge (0.500, 0.500, 0.223) x2
C (0.000, 0.000, 0.500) x1

The 8 most intense peaks (10 to 90 degrees two-theta), by angle:
hkl	2θ/deg	I/Imax
1 0 1	26.7	17
1 1 1	34.3	100
1 0 2	39.0	48
2 0 0	43.1	52
1 1 2	44.8	13
2 1 2	59.5	27
2 2 0	62.6	17
3 1 1	73.3	22

What did the third record say?
Simulated powder X-ray diffraction pattern of NdTc2Ge2C for Cu Kα X-rays, from DFT lattice parameters and positions (GGA-PBE).

Structure:
Unit cell a=4.198 b=4.198 c=5.526 alpha=90.00 beta=90.00 gamma=90.00
Space group P4/mmm (No. 123)
Unique sites:
Nd (0.000, 0.000, 0.000) x1
Tc (0.000, 0.500, 0.500) x2
Ge (0.500, 0.500, 0.223) x2
C (0.000, 0.000, 0.500) x1

The 8 most intense peaks (10 to 90 degrees two-theta), by angle:
hkl	2θ/deg	I/Imax
1 0 1	26.7	17
1 1 1	34.3	100
1 0 2	39.0	48
2 0 0	43.1	52
1 1 2	44.8	13
2 1 2	59.5	27
2 2 0	62.6	17
3 1 1	73.3	22